Starting from DFT lattice parameters and positions (GGA-PBE), the X-ray diffraction stick pattern of Li2PtF6 was computed for Cu Ka.

The 12 most intense peaks (2θ = 10–90°), by angle:
two_theta  I (rel.)
19.01  323
21.01  1000
26.59  365
32.89  314
34.47  213
42.75  108
43.76  214
47.46  111
52.18  197
52.69  85
54.76  76
66.22  104

Atomic structure:
```
18
Lattice="4.734 0.000 0.000 0.000 4.749 0.000 -4.722 0.000 9.336" Properties=species:S:1:pos:R:3 pbc="T T T"
Li 0.012 0.084 1.523
Li -2.349 2.291 6.191
Li 2.361 2.458 3.145
Li 0.000 4.666 7.812
Pt 0.006 0.000 4.668
Pt 2.367 2.375 0.000
F -3.278 3.266 7.829
F -0.917 3.858 3.161
F -3.752 0.975 9.317
F -1.391 1.399 4.650
F 1.455 3.299 1.492
F -0.906 3.825 6.160
F 0.918 0.925 3.176
F -1.443 1.450 7.844
F 1.403 3.350 4.686
F 3.764 3.774 0.018
F 0.928 0.892 6.175
F 3.289 1.483 1.507
```

Starting from DFT lattice parameters and positions (GGA-PBE), the X-ray diffraction stick pattern of RbLiF2 was computed for Cu Ka.

The 12 most intense peaks (2θ = 10–90°), by angle:
two_theta  I (rel.)
19.43  341
22.47  319
26.95  454
29.57  912
30.29  573
30.81  956
31.46  457
36.02  508
37.14  506
37.58  1000
46.55  250
52.62  247

Atomic structure:
```
16
Lattice="2.967 -5.687 0.000 2.967 5.687 0.000 -0.831 0.000 7.915" Properties=species:S:1:pos:R:3 pbc="T T T"
Rb 1.035 1.022 3.412
Rb 0.620 -1.022 7.369
Rb 4.484 1.022 0.545
Rb 4.068 -1.022 4.502
Li 0.724 2.260 6.810
Li 1.139 -2.260 2.853
Li 3.964 2.260 5.062
Li 4.380 -2.260 1.104
F 2.759 4.392 1.979
F 1.670 1.578 0.663
F 2.344 2.147 5.936
F 1.254 -1.578 4.621
F 3.849 1.578 3.294
F 2.759 -2.147 1.979
F 3.434 -1.578 7.251
F 2.344 -4.392 5.936
```

Starting from DFT lattice parameters and positions (GGA-PBE), the X-ray diffraction stick pattern of Rb2LiRhF6 was computed for Cu Ka.

The 12 most intense peaks (2θ = 10–90°), by angle:
two_theta  I (rel.)
18.31  440
30.12  1000
35.48  210
37.11  203
43.12  484
47.21  79
53.49  400
57.02  80
62.62  289
71.04  178
79.05  93
86.85  217

Atomic structure:
```
10
Lattice="0.000 4.196 4.196 4.196 0.000 4.196 4.196 4.196 0.000" Properties=species:S:1:pos:R:3 pbc="T T T"
Rb 2.098 2.098 2.098
Rb 6.294 6.294 6.294
Li 0.000 0.000 0.000
Rh 4.196 4.196 4.196
F 4.196 4.196 2.166
F 4.196 2.166 4.196
F 6.227 4.196 4.196
F 2.166 4.196 4.196
F 4.196 6.227 4.196
F 4.196 4.196 6.227
```

Starting from DFT lattice parameters and positions (GGA-PBE), the X-ray diffraction stick pattern of Rb2LiSbF6 was computed for Cu Ka.

The 12 most intense peaks (2θ = 10–90°), by angle:
two_theta  I (rel.)
17.54  425
28.84  1000
33.95  263
35.51  157
41.24  479
45.13  123
51.10  411
54.45  85
59.74  293
67.67  182
75.17  94
82.42  217

Atomic structure:
```
10
Lattice="0.000 4.378 4.378 4.378 0.000 4.378 4.378 4.378 0.000" Properties=species:S:1:pos:R:3 pbc="T T T"
Rb 2.189 2.189 2.189
Rb 6.568 6.568 6.568
Li 0.000 0.000 0.000
Sb 4.378 4.378 4.378
F 4.378 4.378 2.162
F 4.378 2.162 4.378
F 6.595 4.378 4.378
F 2.162 4.378 4.378
F 4.378 6.595 4.378
F 4.378 4.378 6.595
```

Starting from DFT lattice parameters and positions (GGA-PBE), the X-ray diffraction stick pattern of Li3RhF6 was computed for Cu Ka.

The 12 most intense peaks (2θ = 10–90°), by angle:
two_theta  I (rel.)
12.34  1000
14.42  587
16.13  281
18.19  161
18.32  244
19.10  78
19.82  106
20.24  112
24.64  134
24.83  152
37.08  98
37.62  80

Atomic structure:
```
10
Lattice="5.806 0.000 0.000 1.943 6.164 0.000 1.123 0.619 7.172" Properties=species:S:1:pos:R:3 pbc="T T T"
Li 0.000 0.000 0.000
Li 0.972 3.082 0.000
Li 3.464 0.309 3.586
Rh 2.903 0.000 0.000
F 1.395 1.353 0.018
F 4.439 5.479 7.109
F 4.814 6.122 2.009
F 4.057 0.661 5.164
F 4.433 1.304 0.063
F 7.476 5.430 7.154
```

Starting from DFT lattice parameters and positions (GGA-PBE), the X-ray diffraction stick pattern of Li3RhF6 was computed for Cu Ka.

The 12 most intense peaks (2θ = 10–90°), by angle:
two_theta  I (rel.)
17.44  452
17.63  893
19.21  1000
23.25  303
23.55  135
24.68  233
26.17  216
27.42  177
35.99  163
36.59  233
39.13  210
41.67  152

Atomic structure:
```
10
Lattice="5.191 0.000 0.000 -0.908 5.204 0.000 -0.083 -2.573 5.032" Properties=species:S:1:pos:R:3 pbc="T T T"
Li 0.000 0.000 0.000
Li -0.454 2.602 0.000
Li 2.554 -1.287 2.516
Rh 2.141 2.602 0.000
F 0.799 1.515 1.059
F 1.031 -0.814 3.517
F 0.767 4.055 0.359
F 3.433 -1.425 4.672
F 3.169 3.445 1.515
F 3.401 1.115 3.973
```

Starting from DFT lattice parameters and positions (GGA-PBE), the X-ray diffraction stick pattern of Li2RhF6 was computed for Cu Ka.

The 12 most intense peaks (2θ = 10–90°), by angle:
two_theta  I (rel.)
19.21  330
21.14  1000
26.71  415
33.11  282
34.77  157
39.82  183
43.04  115
44.00  246
47.88  94
52.56  303
55.03  110
66.76  132

Atomic structure:
```
18
Lattice="4.720 0.000 0.000 0.000 4.720 0.000 0.000 0.000 9.243" Properties=species:S:1:pos:R:3 pbc="T T T"
Li 0.000 0.000 1.533
Li 0.000 0.000 7.710
Li 2.360 2.360 3.089
Li 2.360 2.360 6.154
Rh 0.000 0.000 4.621
Rh 2.360 2.360 0.000
F 0.920 0.920 3.153
F 0.920 0.920 6.090
F 0.989 0.989 0.000
F 1.371 3.348 4.621
F 1.440 3.280 1.468
F 1.440 3.280 7.775
F 3.280 1.440 1.468
F 3.280 1.440 7.775
F 3.348 1.371 4.621
F 3.731 3.731 0.000
F 3.800 3.800 3.153
F 3.800 3.800 6.090
```

Starting from DFT lattice parameters and positions (GGA-PBE), the X-ray diffraction stick pattern of Li3RhF6 was computed for Cu Ka.

The 12 most intense peaks (2θ = 10–90°), by angle:
two_theta  I (rel.)
19.51  910
22.57  1000
32.13  260
37.87  517
46.08  385
50.49  232
51.90  370
57.29  113
61.12  159
67.21  211
70.74  153
71.90  159

Atomic structure:
```
10
Lattice="0.000 3.939 3.939 3.939 0.000 3.939 3.939 3.939 0.000" Properties=species:S:1:pos:R:3 pbc="T T T"
Li 0.000 0.000 0.000
Li 1.970 1.970 1.970
Li 5.909 5.909 5.909
Rh 3.939 3.939 3.939
F 3.939 3.939 1.952
F 3.939 1.952 3.939
F 5.927 3.939 3.939
F 1.952 3.939 3.939
F 3.939 5.927 3.939
F 3.939 3.939 5.927
```

Starting from DFT lattice parameters and positions (GGA-PBE), the X-ray diffraction stick pattern of LiZnRhF6 was computed for Cu Ka.

The 12 most intense peaks (2θ = 10–90°), by angle:
two_theta  I (rel.)
18.81  258
20.89  730
26.47  1000
32.67  246
34.16  536
39.19  191
42.49  178
43.56  199
51.84  691
54.50  202
65.50  140
65.91  258

Atomic structure:
```
18
Lattice="4.763 0.000 0.000 0.000 4.763 0.000 0.000 0.000 9.437" Properties=species:S:1:pos:R:3 pbc="T T T"
Li 0.000 0.000 0.000
Li 2.381 2.381 4.719
Zn 0.000 0.000 6.321
Zn 2.381 2.381 1.602
Rh 0.000 0.000 3.144
Rh 2.381 2.381 7.863
F 0.921 0.921 4.692
F 0.924 0.924 1.600
F 0.952 0.952 7.879
F 1.429 3.333 3.160
F 1.458 3.305 6.319
F 1.460 3.303 9.411
F 3.303 1.460 9.411
F 3.305 1.458 6.319
F 3.333 1.429 3.160
F 3.811 3.811 7.879
F 3.839 3.839 1.600
F 3.841 3.841 4.692
```

Starting from DFT lattice parameters and positions (GGA-PBE), the X-ray diffraction stick pattern of Li2RuF6 was computed for Cu Ka.

The 12 most intense peaks (2θ = 10–90°), by angle:
two_theta  I (rel.)
19.09  319
21.11  1000
26.72  411
33.05  274
34.63  154
39.69  193
42.99  113
44.00  241
52.46  303
55.04  110
59.65  100
66.68  133

Atomic structure:
```
18
Lattice="4.719 0.000 0.000 0.000 4.719 0.000 0.000 0.000 9.297" Properties=species:S:1:pos:R:3 pbc="T T T"
Li 0.000 0.000 1.558
Li 0.000 0.000 7.739
Li 2.359 2.359 3.090
Li 2.359 2.359 6.207
Ru 0.000 0.000 4.649
Ru 2.359 2.359 0.000
F 0.917 0.917 3.157
F 0.917 0.917 6.140
F 0.999 0.999 0.000
F 1.360 3.359 4.649
F 1.443 3.276 1.492
F 1.443 3.276 7.805
F 3.276 1.443 1.492
F 3.276 1.443 7.805
F 3.359 1.360 4.649
F 3.720 3.720 0.000
F 3.802 3.802 3.157
F 3.802 3.802 6.140
```

Starting from DFT lattice parameters and positions (GGA-PBE), the X-ray diffraction stick pattern of Li3RuF6 was computed for Cu Ka.

The 12 most intense peaks (2θ = 10–90°), by angle:
two_theta  I (rel.)
19.48  883
22.53  1000
32.08  253
37.80  511
46.00  390
50.40  232
51.80  369
57.18  110
61.00  154
67.08  213
70.60  148
71.76  158

Atomic structure:
```
10
Lattice="0.000 3.946 3.946 3.946 0.000 3.946 3.946 3.946 0.000" Properties=species:S:1:pos:R:3 pbc="T T T"
Li 0.000 0.000 0.000
Li 1.973 1.973 1.973
Li 5.919 5.919 5.919
Ru 3.946 3.946 3.946
F 3.946 3.946 1.948
F 3.946 1.948 3.946
F 5.944 3.946 3.946
F 1.948 3.946 3.946
F 3.946 5.944 3.946
F 3.946 3.946 5.944
```

Starting from DFT lattice parameters and positions (GGA-PBE), the X-ray diffraction stick pattern of LiSb2F7 was computed for Cu Ka.

The 12 most intense peaks (2θ = 10–90°), by angle:
two_theta  I (rel.)
19.07  474
20.67  200
20.86  416
21.55  161
24.26  283
25.72  508
27.07  1000
36.65  381
42.49  241
46.19  388
47.97  150
48.63  201

Atomic structure:
```
40
Lattice="8.900 0.000 0.000 0.000 14.675 0.000 0.000 0.000 4.906" Properties=species:S:1:pos:R:3 pbc="T T T"
Li 0.632 3.669 0.646
Li 3.818 11.006 3.099
Li 5.083 3.669 1.807
Li 8.268 11.006 4.260
Sb 1.015 8.820 1.534
Sb 1.015 13.192 1.534
Sb 3.435 1.483 3.987
Sb 3.435 5.854 3.987
Sb 5.465 8.820 0.919
Sb 5.465 13.192 0.919
Sb 7.886 1.483 3.372
Sb 7.886 5.854 3.372
F 0.031 9.643 3.027
F 0.031 12.369 3.027
F 0.803 11.006 0.720
F 1.344 7.354 2.913
F 1.344 14.658 2.913
F 1.744 2.246 4.673
F 1.744 5.091 4.673
F 2.706 9.584 2.220
F 2.706 12.428 2.220
F 3.107 0.017 0.460
F 3.107 7.320 0.460
F 3.647 3.669 3.173
F 4.419 2.305 0.574
F 4.419 5.032 0.574
F 4.482 9.643 4.332
F 4.482 12.369 4.332
F 5.253 11.006 1.733
F 5.794 7.354 4.446
F 5.794 14.658 4.446
F 6.194 2.246 2.686
F 6.194 5.091 2.686
F 7.156 9.584 0.233
F 7.156 12.428 0.233
F 7.557 0.017 1.993
F 7.557 7.320 1.993
F 8.097 3.669 4.186
F 8.869 2.305 1.879
F 8.869 5.032 1.879
```